Diffraction record for BaNaFe4As4. The X-ray powder pattern is simulated, not measured: it uses a structure optimized by DFT (PBE) and a wavelength of 1.5418 Å.
Neutral-atom scattering factors, no anomalous dispersion.

Atomic structure:
Lattice parameters (Å, degrees): 5.4546 12.8255 5.4612 90.00 90.00 90.00
Space group Cmmm (No. 65)
Inequivalent atoms, fractional coordinates:
Ba1 0.0000 0.0000 0.0000 (multiplicity 2)
Na1 0.0000 0.5000 0.5000 (multiplicity 2)
Fe1 0.2500 0.2500 0.2505 (multiplicity 8)
As1 0.0000 0.1492 0.5000 (multiplicity 4)
As2 0.0000 0.3508 0.0000 (multiplicity 4)

Most intense lines, 2θ from 10° to 80°, by angle:
- 6.413 Å, 13.81 deg, I 29, (0 2 0)
- 2.865 Å, 31.22 deg, I 100, (1 3 1)
- 2.511 Å, 35.76 deg, I 31, (2 2 0)
- 2.078 Å, 43.55 deg, I 22, (2 4 0)
- 1.930 Å, 47.10 deg, I 38, (2 0 2)
- 1.683 Å, 54.53 deg, I 39, (2 6 0)
- 1.602 Å, 57.55 deg, I 22, (0 8 0)
- 1.600 Å, 57.62 deg, I 17, (3 3 1)
- 1.364 Å, 68.80 deg, I 12, (4 0 0)
- 1.233 Å, 77.43 deg, I 15, (2 8 2)